Starting from the PBE geometry in the Materials Project, the PXRD pattern of CeGaNi was calculated for Cu Kα.
No peak broadening, texture or thermal motion is included.

Principal peaks in the range 2θ = 10–90°, most intense first:
2θ/deg  I (rel.)
34.09  100
35.52  95
40.09  48
38.87  37
45.29  24
57.07  23
55.41  23
36.13  20
71.12  20
42.22  17

Atomic structure:
```
data_CeGaNi
_cell_length_a 7.406
_cell_length_b 4.498
_cell_length_c 6.708
_cell_angle_alpha 90.00
_cell_angle_beta 90.00
_cell_angle_gamma 90.00
_symmetry_space_group_name_H-M 'P n m a'
_symmetry_Int_Tables_number 62
_symmetry_space_group_name_Hall '-P 2ac 2n'
loop_
_atom_site_label
_atom_site_type_symbol
_atom_site_fract_x
_atom_site_fract_y
_atom_site_fract_z
Ce1 Ce 0.028 0.250 0.179
Ga1 Ga 0.183 0.250 0.604
Ni1 Ni 0.157 0.750 0.424
```

---

Starting from the PBE geometry in the Materials Project, the PXRD pattern of CeSe2 was calculated for Cu Kα.
No peak broadening, texture or thermal motion is included.

Principal peaks in the range 2θ = 10–90°, most intense first:
2θ/deg  I (rel.)
12.52  100
13.56  86
17.03  71
10.75  38
33.99  24
44.35  23
46.28  23
29.91  22
21.59  21
14.67  17

Atomic structure:
```
data_CeSe2
_cell_length_a 16.449
_cell_length_b 16.480
_cell_length_c 14.127
_cell_angle_alpha 90.00
_cell_angle_beta 90.00
_cell_angle_gamma 90.00
_symmetry_space_group_name_H-M 'P b a m'
_symmetry_Int_Tables_number 55
_symmetry_space_group_name_Hall '-P 2 2ab'
loop_
_atom_site_label
_atom_site_type_symbol
_atom_site_fract_x
_atom_site_fract_y
_atom_site_fract_z
Ce1 Ce 0.121 0.170 0.187
Ce2 Ce 0.170 0.879 0.313
Se1 Se 0.040 0.817 0.220
Se2 Se 0.147 0.151 0.000
Se3 Se 0.149 0.854 0.500
Se4 Se 0.184 0.040 0.279
Se5 Se 0.194 0.306 0.251
```

---

Starting from the PBE geometry in the Materials Project, the PXRD pattern of Nd2Tc2O7 was calculated for Cu Kα.
No peak broadening, texture or thermal motion is included.

Principal peaks in the range 2θ = 10–90°, most intense first:
2θ/deg  I (rel.)
29.36  100
48.89  48
58.06  43
34.03  32
79.25  17
81.74  14
60.91  10
71.64  7
37.19  5
14.56  3

Atomic structure:
Cell: 10.538 10.538 10.538 Å, 90.00 90.00 90.00°
Space group Fd-3m (No. 227, origin choice 2)
One atom of each set of equivalent atoms:
Nd  0.000  0.000  0.000 x16
Tc  0.000  0.000  0.500 x16
O  0.082  0.375  0.875 x48
O  0.125  0.125  0.125 x8

---

Starting from the PBE geometry in the Materials Project, the PXRD pattern of PuSb was calculated for Cu Kα.
No peak broadening, texture or thermal motion is included.

Principal peaks in the range 2θ = 10–90°, most intense first:
2θ/deg  I (rel.)
32.96  100
35.88  40
62.64  32
56.90  21
51.65  14
42.62  12
69.13  12
71.90  11
25.16  10
20.94  7

Atomic structure:
```
data_PuSb
_cell_length_a 3.539
_cell_length_b 3.539
_cell_length_c 4.242
_cell_angle_alpha 90.00
_cell_angle_beta 90.00
_cell_angle_gamma 90.00
_symmetry_space_group_name_H-M 'P 4/m m m'
_symmetry_Int_Tables_number 123
_symmetry_space_group_name_Hall '-P 4 2'
loop_
_atom_site_label
_atom_site_type_symbol
_atom_site_fract_x
_atom_site_fract_y
_atom_site_fract_z
Pu1 Pu 0.000 0.000 0.000
Sb1 Sb 0.500 0.500 0.500
```

---

Starting from the PBE geometry in the Materials Project, the PXRD pattern of EuNpO3 was calculated for Cu Kα.
No peak broadening, texture or thermal motion is included.

Principal peaks in the range 2θ = 10–90°, most intense first:
2θ/deg  I (rel.)
29.45  100
42.14  33
29.85  24
52.74  23
29.08  23
51.78  17
69.26  16
61.11  13
52.46  12
20.71  11

Atomic structure:
```
data_EuNpO3
_cell_length_a 6.141
_cell_length_b 8.585
_cell_length_c 5.986
_cell_angle_alpha 90.00
_cell_angle_beta 90.00
_cell_angle_gamma 90.00
_symmetry_space_group_name_H-M 'P n m a'
_symmetry_Int_Tables_number 62
_symmetry_space_group_name_Hall '-P 2ac 2n'
loop_
_atom_site_label
_atom_site_type_symbol
_atom_site_fract_x
_atom_site_fract_y
_atom_site_fract_z
Eu1 Eu 0.050 0.250 0.012
Np1 Np 0.000 0.000 0.500
O1 O 0.049 0.750 0.385
O2 O 0.196 0.561 0.807
```

---

Starting from the PBE geometry in the Materials Project, the PXRD pattern of CaBePO5 was calculated for Cu Kα.
No peak broadening, texture or thermal motion is included.

Principal peaks in the range 2θ = 10–90°, most intense first:
2θ/deg  I (rel.)
28.13  100
30.74  98
28.24  85
29.34  79
25.74  62
39.38  43
50.59  39
23.28  39
44.62  38
40.46  37

Atomic structure:
```
data_CaBePO5
_cell_length_a 4.915
_cell_length_b 7.760
_cell_length_c 9.791
_cell_angle_alpha 90.00
_cell_angle_beta 90.26
_cell_angle_gamma 90.00
_symmetry_space_group_name_H-M 'P 1 21/c 1'
_symmetry_Int_Tables_number 14
_symmetry_space_group_name_Hall '-P 2ybc'
loop_
_atom_site_label
_atom_site_type_symbol
_atom_site_fract_x
_atom_site_fract_y
_atom_site_fract_z
Ca1 Ca 0.003 0.118 0.170
Be1 Be 0.460 0.086 0.662
P1 P 0.470 0.732 0.582
O1 O 0.214 0.594 0.814
O2 O 0.245 0.603 0.543
O3 O 0.331 0.157 0.807
O4 O 0.332 0.604 0.143
O5 O 0.355 0.218 0.543
```

---

Starting from the PBE geometry in the Materials Project, the PXRD pattern of Ge9Pd25 was calculated for Cu Kα.
No peak broadening, texture or thermal motion is included.

Principal peaks in the range 2θ = 10–90°, most intense first:
2θ/deg  I (rel.)
41.36  100
41.77  77
37.63  45
37.40  41
44.79  22
40.44  17
75.14  16
68.24  16
72.64  11
60.24  10

Atomic structure:
```
data_Ge9Pd25
_cell_length_a 7.4911
_cell_length_b 7.4911
_cell_length_c 10.7461
_cell_angle_alpha 90.00
_cell_angle_beta 90.00
_cell_angle_gamma 120.00
_symmetry_space_group_name_H-M 'P -3'
_symmetry_Int_Tables_number 147
_symmetry_space_group_name_Hall '-P 3'
loop_
_atom_site_label
_atom_site_type_symbol
_atom_site_fract_x
_atom_site_fract_y
_atom_site_fract_z
Ge1 Ge 0.0000 0.0000 0.0000
Ge2 Ge 0.0079 0.3427 0.6781
Ge3 Ge 0.3333 0.6667 0.9801
Pd1 Pd 0.0000 0.0000 0.2488
Pd2 Pd 0.0000 0.0000 0.5000
Pd3 Pd 0.0698 0.7263 0.0801
Pd4 Pd 0.0726 0.3799 0.4312
Pd5 Pd 0.0914 0.6737 0.8143
Pd6 Pd 0.3333 0.6667 0.2431
Pd7 Pd 0.3333 0.6667 0.6077
```